This entry pairs a crystal structure of Ba2YTlV2O7 with its calculated XRD peak list. Radiation: Cu Kα, 1.54184 Å. Structure: a DFT-relaxed cell (PBE+U, Alexandria).

Main lines, by angle (2θ = 5–70°):
- 2θ = 6.58°, rel. 23
- 2θ = 26.15°, rel. 21
- 2θ = 30.15°, rel. 100
- 2θ = 32.02°, rel. 51
- 2θ = 32.73°, rel. 12
- 2θ = 33.32°, rel. 13
- 2θ = 45.92°, rel. 26
- 2θ = 52.33°, rel. 21
- 2θ = 55.92°, rel. 35
- 2θ = 66.97°, rel. 13

```
data_Ba2YTlV2O7
_space_group_name_H-M_alt 'P 4/m m m'
_space_group_IT_number 123
_space_group_name_Hall '-P 4 2'
_cell_length_a 3.9527
_cell_length_b 3.9527
_cell_length_c 13.4432
_cell_angle_alpha 90.00
_cell_angle_beta 90.00
_cell_angle_gamma 90.00
loop_
_atom_site_label
_atom_site_type_symbol
_atom_site_fract_x
_atom_site_fract_y
_atom_site_fract_z
Ba1 Ba 0.0000 0.0000 0.1894
Y1 Y 0.0000 0.0000 0.5000
Tl1 Tl 0.5000 0.5000 0.0000
V1 V 0.5000 0.5000 0.3551
O1 O 0.0000 0.0000 0.0000
O2 O 0.0000 0.5000 0.3957
O3 O 0.5000 0.5000 0.2153
```